For U, a crystal structure in the Materials Project, relaxed with PBE gives the simulated powder diffraction line list in this record (Cu Kα X-rays).
No peak broadening, texture or thermal motion is included.

a b c (Å): 6.3950 6.3950 5.0431
angles (deg): 90.00 90.00 125.84
Atoms (fractional coordinates):
U 0.0000 0.5000 0.0000
U 0.1559 0.4034 0.5000
U 0.2176 0.2176 0.0000
U 0.4034 0.1559 0.5000
U 0.5000 0.0000 0.0000
U 0.5966 0.8441 0.5000
U 0.7824 0.7824 0.0000
U 0.8441 0.5966 0.5000

The 8 most intense peaks (10 to 80 degrees two-theta), sorted by position:
| 2theta | I/Imax |
| --- | --- |
| 30.71 | 68.6 |
| 35.60 | 52.4 |
| 36.23 | 100.0 |
| 47.72 | 41.8 |
| 48.21 | 81.1 |
| 64.36 | 19.8 |
| 72.99 | 25.2 |
| 75.79 | 15.9 |

---

For LaErS3, a crystal structure in the Materials Project, relaxed with PBE gives the simulated powder diffraction line list in this record (Cu Kα X-rays).
No peak broadening, texture or thermal motion is included.

a b c (Å): 11.0835 4.0131 21.6554
angles (deg): 90.00 101.49 90.00
Atoms (fractional coordinates):
La 0.0921 0.2500 0.3634
La 0.1998 0.2500 0.0341
La 0.3027 0.7500 0.7352
La 0.3079 0.2500 0.2309
La 0.6921 0.7500 0.7691
La 0.6973 0.2500 0.2648
La 0.8002 0.7500 0.9659
La 0.9079 0.7500 0.6366
Er 0.0286 0.2500 0.8509
Er 0.1785 0.2500 0.5473
Er 0.4485 0.2500 0.9170
Er 0.4768 0.7500 0.4116
Er 0.5232 0.2500 0.5884
Er 0.5515 0.7500 0.0830
Er 0.8215 0.7500 0.4527
Er 0.9714 0.7500 0.1491
S 0.0370 0.2500 0.2280
S 0.0571 0.7500 0.9434
S 0.0857 0.7500 0.4640
S 0.1240 0.2500 0.6641
S 0.2043 0.7500 0.1324
S 0.2515 0.7500 0.3248
S 0.2540 0.2500 0.8252
S 0.3415 0.7500 0.5995
S 0.3567 0.7500 0.9847
S 0.3642 0.2500 0.4638
S 0.4537 0.2500 0.1331
S 0.4941 0.2500 0.7219
S 0.5059 0.7500 0.2781
S 0.5463 0.7500 0.8669
S 0.6358 0.7500 0.5362
S 0.6433 0.2500 0.0153
S 0.6585 0.2500 0.4005
S 0.7460 0.7500 0.1748
S 0.7485 0.2500 0.6752
S 0.7957 0.2500 0.8676
S 0.8760 0.7500 0.3359
S 0.9143 0.2500 0.5360
S 0.9429 0.2500 0.0566
S 0.9630 0.7500 0.7720

The 8 most intense peaks (10 to 80 degrees two-theta), sorted by position:
| 2theta | I/Imax |
| --- | --- |
| 24.34 | 100.0 |
| 24.87 | 90.5 |
| 25.52 | 56.6 |
| 25.70 | 85.3 |
| 28.46 | 48.7 |
| 32.83 | 43.6 |
| 36.84 | 63.6 |
| 45.17 | 73.8 |

---

For DyFeNi4, a crystal structure in the Materials Project, relaxed with PBE gives the simulated powder diffraction line list in this record (Cu Kα X-rays).
No peak broadening, texture or thermal motion is included.

a b c (Å): 4.9310 4.9310 3.9310
angles (deg): 90.00 90.00 120.00
Atoms (fractional coordinates):
Dy 0.0000 0.0000 0.0000
Fe 0.3333 0.6667 0.0000
Ni 0.5003 0.0007 0.5000
Ni 0.5003 0.4997 0.5000
Ni 0.6667 0.3333 0.0000
Ni 0.9993 0.4997 0.5000

The 8 most intense peaks (10 to 80 degrees two-theta), sorted by position:
| 2theta | I/Imax |
| --- | --- |
| 30.92 | 55.3 |
| 36.44 | 32.2 |
| 42.33 | 37.9 |
| 43.32 | 100.0 |
| 46.19 | 25.9 |
| 64.43 | 21.0 |
| 70.34 | 22.3 |
| 77.42 | 15.6 |

---

For CeMg2, a crystal structure in the Materials Project, relaxed with PBE gives the simulated powder diffraction line list in this record (Cu Kα X-rays).
No peak broadening, texture or thermal motion is included.

a b c (Å): 3.1411 3.1411 17.1942
angles (deg): 90.00 90.00 120.00
Atoms (fractional coordinates):
Ce 0.3333 0.6667 0.2500
Ce 0.6667 0.3333 0.7500
Mg 0.3333 0.6667 0.5790
Mg 0.3333 0.6667 0.9210
Mg 0.6667 0.3333 0.0790
Mg 0.6667 0.3333 0.4210

The 8 most intense peaks (10 to 80 degrees two-theta), sorted by position:
| 2theta | I/Imax |
| --- | --- |
| 10.29 | 100.0 |
| 20.66 | 24.9 |
| 31.21 | 23.2 |
| 32.93 | 15.2 |
| 33.35 | 31.7 |
| 36.56 | 68.3 |
| 42.37 | 14.5 |
| 59.09 | 16.4 |

---

For TiCl3, a crystal structure in the Materials Project, relaxed with PBE gives the simulated powder diffraction line list in this record (Cu Kα X-rays).
No peak broadening, texture or thermal motion is included.

a b c (Å): 6.1385 6.1385 6.3500
angles (deg): 90.00 90.00 120.00
Atoms (fractional coordinates):
Ti 0.3333 0.6667 0.0000
Ti 0.6667 0.3333 0.0000
Cl 0.0000 0.3570 0.7781
Cl 0.0000 0.6430 0.2219
Cl 0.3570 0.0000 0.7781
Cl 0.3570 0.3570 0.2219
Cl 0.6430 0.0000 0.2219
Cl 0.6430 0.6430 0.7781

The 8 most intense peaks (10 to 80 degrees two-theta), sorted by position:
| 2theta | I/Imax |
| --- | --- |
| 13.95 | 67.2 |
| 16.68 | 31.8 |
| 21.80 | 19.5 |
| 32.40 | 100.0 |
| 40.90 | 53.4 |
| 51.58 | 26.1 |
| 52.52 | 26.1 |
| 62.24 | 10.9 |

---

For Dy2Te3, a crystal structure in the Materials Project, relaxed with PBE gives the simulated powder diffraction line list in this record (Cu Kα X-rays).
No peak broadening, texture or thermal motion is included.

a b c (Å): 14.5756 13.9104 7.5405
angles (deg): 79.59 69.83 30.59
Atoms (fractional coordinates):
Dy 0.0423 0.0423 0.2077
Dy 0.1252 0.1252 0.6248
Dy 0.2077 0.2077 0.0423
Dy 0.3752 0.3752 0.8748
Dy 0.6248 0.6248 0.1252
Dy 0.7923 0.7923 0.9577
Dy 0.8748 0.8748 0.3752
Dy 0.9577 0.9577 0.7923
Te 0.0437 0.5407 0.2066
Te 0.1263 0.6237 0.6237
Te 0.2066 0.7090 0.0437
Te 0.2910 0.7934 0.4593
Te 0.3763 0.8737 0.8737
Te 0.4593 0.9563 0.2910
Te 0.5407 0.0437 0.7090
Te 0.6237 0.1263 0.1263
Te 0.7090 0.2066 0.5407
Te 0.7934 0.2910 0.9563
Te 0.8737 0.3763 0.3763
Te 0.9563 0.4593 0.7934

The 8 most intense peaks (10 to 80 degrees two-theta), sorted by position:
| 2theta | I/Imax |
| --- | --- |
| 12.89 | 26.3 |
| 28.84 | 100.0 |
| 29.01 | 49.3 |
| 40.99 | 19.3 |
| 41.36 | 75.3 |
| 50.99 | 20.5 |
| 51.41 | 20.0 |
| 68.02 | 26.1 |